Calculated powder diffraction line list
Compound: Y4HoTm3S8
Radiation: λ = 1.5418 Å (Cu Kα)
Structure: a structure optimized by DFT (PBE)

Largest 8 diffraction maxima, in order of rising 2θ, 2θ from 15° to 90°:
28.03°, d = 3.183 Å, intensity 16.8
28.15°, d = 3.170 Å, intensity 49.8
32.58°, d = 2.748 Å, intensity 100.0
46.67°, d = 1.946 Å, intensity 35.6
46.82°, d = 1.940 Å, intensity 35.3
55.48°, d = 1.656 Å, intensity 24.0
58.20°, d = 1.585 Å, intensity 18.2
77.58°, d = 1.231 Å, intensity 15.5

Structure:
```
Y4HoTm3S8
1.0
3.881 2.241 6.366
-3.881 2.241 6.366
0.000 -4.481 6.366
Y Ho Tm S
4 1 3 8
direct
0.000 0.000 0.000
0.000 0.500 0.500
0.500 0.000 0.500
0.500 0.500 0.000
0.500 0.500 0.500
0.000 0.000 0.500
0.000 0.500 0.000
0.500 0.000 0.000
0.246 0.749 0.749
0.247 0.247 0.247
0.251 0.251 0.754
0.251 0.754 0.251
0.749 0.246 0.749
0.749 0.749 0.246
0.753 0.753 0.753
0.754 0.251 0.251
```